(1)
Diffraction record for Fe7Au6. The powder diffractogram is theoretical, not measured: it uses a structure optimized by DFT (PBE) and Cu Kα (λ = 1.5418 Å).

Main lines, in order of rising 2θ (2θ = 10–80°):
36.54°, d = 2.459 Å, I 100
40.82°, d = 2.211 Å, I 72
41.81°, d = 2.160 Å, I 55
42.77°, d = 2.114 Å, I 12
45.16°, d = 2.008 Å, I 17
65.78°, d = 1.420 Å, I 22
68.69°, d = 1.366 Å, I 31
69.39°, d = 1.354 Å, I 12
73.67°, d = 1.286 Å, I 11
77.68°, d = 1.229 Å, I 18

Atomic structure:
abc: 4.9168 4.9168 18.1065
angles: 90.00 90.00 120.00
Positions (direct):
Fe 0.0000 0.0000 0.0000
Fe 0.0000 0.0000 0.5000
Fe 0.1661 0.3321 0.1129
Fe 0.1661 0.3321 0.3871
Fe 0.1661 0.8339 0.1129
Fe 0.1661 0.8339 0.3871
Fe 0.3321 0.1661 0.6129
Fe 0.3321 0.1661 0.8871
Fe 0.6679 0.8339 0.1129
Fe 0.6679 0.8339 0.3871
Fe 0.8339 0.1661 0.6129
Fe 0.8339 0.1661 0.8871
Fe 0.8339 0.6679 0.6129
Fe 0.8339 0.6679 0.8871
Au 0.0000 0.0000 0.2500
Au 0.0000 0.0000 0.7500
Au 0.3333 0.6667 0.2500
Au 0.3333 0.6667 0.5207
Au 0.3333 0.6667 0.6759
Au 0.3333 0.6667 0.8241
Au 0.3333 0.6667 0.9793
Au 0.6667 0.3333 0.0207
Au 0.6667 0.3333 0.1759
Au 0.6667 0.3333 0.3241
Au 0.6667 0.3333 0.4793
Au 0.6667 0.3333 0.7500



(2)
Diffraction record for K4TaBr3. The powder diffractogram is theoretical, not measured: it uses a structure optimized by DFT (PBE) and Cu Kα (λ = 1.5418 Å).

Main lines, in order of rising 2θ (2θ = 10–80°):
20.02°, d = 4.435 Å, I 100
22.99°, d = 3.869 Å, I 12
32.73°, d = 2.736 Å, I 23
33.10°, d = 2.706 Å, I 44
38.67°, d = 2.329 Å, I 35
39.30°, d = 2.293 Å, I 17
46.97°, d = 1.935 Å, I 8
52.04°, d = 1.757 Å, I 15
58.66°, d = 1.574 Å, I 14
62.41°, d = 1.488 Å, I 8

Atomic structure:
abc: 9.3440 9.3440 9.3440
angles: 131.08 131.08 71.69
Positions (direct):
K 0.1393 0.1393 0.5536
K 0.4143 0.8607 0.0000
K 0.5857 0.5857 0.4464
K 0.8607 0.4143 0.0000
Ta 0.0000 0.0000 0.0000
Br 0.2500 0.7500 0.5000
Br 0.5000 0.5000 0.0000
Br 0.7500 0.2500 0.5000



(3)
Diffraction record for TlWCl6. The powder diffractogram is theoretical, not measured: it uses a structure optimized by DFT (PBE) and Cu Kα (λ = 1.5418 Å).

Main lines, in order of rising 2θ (2θ = 10–80°):
16.09°, d = 5.510 Å, I 24
18.44°, d = 4.812 Å, I 100
19.27°, d = 4.607 Å, I 62
23.73°, d = 3.749 Å, I 39
26.60°, d = 3.351 Å, I 40
26.98°, d = 3.305 Å, I 33
32.66°, d = 2.742 Å, I 38
33.12°, d = 2.705 Å, I 29
33.56°, d = 2.670 Å, I 28
43.30°, d = 2.089 Å, I 31

Atomic structure:
abc: 6.6634 6.6634 12.0068
angles: 100.33 100.33 56.18
Positions (direct):
Tl 0.1114 0.8886 0.7500
Tl 0.8886 0.1114 0.2500
W 0.0000 0.5000 0.0000
W 0.5000 0.0000 0.5000
Cl 0.0952 0.2034 0.5388
Cl 0.2034 0.0952 0.0388
Cl 0.2031 0.3721 0.8361
Cl 0.3106 0.5359 0.1068
Cl 0.3721 0.2031 0.3361
Cl 0.4641 0.6894 0.3932
Cl 0.5359 0.3106 0.6068
Cl 0.6279 0.7969 0.6639
Cl 0.6894 0.4641 0.8932
Cl 0.7969 0.6279 0.1639
Cl 0.7966 0.9048 0.9612
Cl 0.9048 0.7966 0.4612



(4)
Diffraction record for Cu10Sb3. The powder diffractogram is theoretical, not measured: it uses a structure optimized by DFT (PBE) and Cu Kα (λ = 1.5418 Å).

Main lines, in order of rising 2θ (2θ = 10–80°):
27.26°, d = 3.272 Å, I 7
29.20°, d = 3.058 Å, I 6
37.40°, d = 2.405 Å, I 27
41.88°, d = 2.157 Å, I 25
43.06°, d = 2.100 Å, I 100
50.67°, d = 1.802 Å, I 1
57.39°, d = 1.606 Å, I 14
67.45°, d = 1.388 Å, I 15
77.32°, d = 1.234 Å, I 16
79.76°, d = 1.202 Å, I 2

Atomic structure:
abc: 10.0122 10.0122 4.3137
angles: 90.00 90.00 120.00
Positions (direct):
Cu 0.0230 0.4406 0.2500
Cu 0.0510 0.8838 0.7500
Cu 0.1162 0.1673 0.7500
Cu 0.1673 0.0510 0.2500
Cu 0.2091 0.5033 0.7500
Cu 0.2942 0.7909 0.7500
Cu 0.3333 0.6667 0.2500
Cu 0.4176 0.9770 0.2500
Cu 0.4406 0.4176 0.7500
Cu 0.4967 0.7058 0.7500
Cu 0.5033 0.2942 0.2500
Cu 0.5594 0.5824 0.2500
Cu 0.5824 0.0230 0.7500
Cu 0.6667 0.3333 0.7500
Cu 0.7058 0.2091 0.2500
Cu 0.7909 0.4967 0.2500
Cu 0.8327 0.9490 0.7500
Cu 0.8838 0.8327 0.2500
Cu 0.9490 0.1162 0.2500
Cu 0.9770 0.5594 0.7500
Sb 0.1061 0.7441 0.2500
Sb 0.2559 0.3621 0.2500
Sb 0.3621 0.1061 0.7500
Sb 0.6379 0.8939 0.2500
Sb 0.7441 0.6379 0.7500
Sb 0.8939 0.2559 0.7500



(5)
Diffraction record for In3NiBi. The powder diffractogram is theoretical, not measured: it uses a structure optimized by DFT (PBE) and Cu Kα (λ = 1.5418 Å).

Main lines, in order of rising 2θ (2θ = 10–80°):
28.68°, d = 3.112 Å, I 24
31.73°, d = 2.820 Å, I 71
34.35°, d = 2.611 Å, I 34
35.51°, d = 2.528 Å, I 20
35.89°, d = 2.502 Å, I 100
45.65°, d = 1.987 Å, I 17
48.65°, d = 1.872 Å, I 15
53.71°, d = 1.707 Å, I 18
55.08°, d = 1.667 Å, I 23
59.39°, d = 1.556 Å, I 15

Atomic structure:
abc: 6.2314 6.2314 6.2314
angles: 88.13 88.13 88.13
Positions (direct):
In 0.0497 0.7500 0.4503
In 0.2500 0.5497 0.9503
In 0.4503 0.0497 0.7500
In 0.5497 0.9503 0.2500
In 0.7500 0.4503 0.0497
In 0.9503 0.2500 0.5497
Ni 0.2500 0.2500 0.2500
Ni 0.7500 0.7500 0.7500
Bi 0.0000 0.0000 0.0000
Bi 0.5000 0.5000 0.5000